Entry 1:
Computed powder diffraction line list of TeS5Br for Cu Kα (λ = 1.5418 Å), from a DFT-relaxed cell (PBE, Alexandria).

Top 10 peaks for 10 to 90 degrees two-theta, low angle first:
- hkl 0 0 1, 11.44°, I = 95.4
- hkl 0 1 0, 13.16°, I = 36.1
- hkl 0 1 -1, 18.59°, I = 88.0
- hkl 1 1 0, 22.20°, I = 32.6
- hkl 0 0 2, 22.99°, I = 37.4
- hkl 1 0 -1, 25.01°, I = 100.0
- hkl 1 2 1, 30.07°, I = 59.3
- hkl 1 -1 1, 31.38°, I = 31.5
- hkl 1 0 -2, 32.37°, I = 36.9
- hkl 1 3 0, 40.16°, I = 42.3

```
data_TeS5Br
_chemical_formula_sum 'Te1 S5 Br1'
_cell_length_a 4.2391
_cell_length_b 7.0775
_cell_length_c 7.8222
_cell_angle_alpha 81.63
_cell_angle_beta 86.20
_cell_angle_gamma 73.54
_space_group_name_H-M_alt 'P 1'
_space_group_IT_number 1
loop_
_space_group_symop_operation_xyz
'x,y,z'
loop_
_atom_site_label
_atom_site_type_symbol
_atom_site_fract_x
_atom_site_fract_y
_atom_site_fract_z
_atom_site_occupancy
Te1 Te 0.0000 0.0000 0.0000 1
S1 S 0.2959 0.2340 0.2884 1
S2 S 0.5417 0.7927 0.7217 1
S3 S 0.5840 0.2163 0.8519 1
S4 S 0.6801 0.0025 0.3191 1
S5 S 0.9211 0.6816 0.8640 1
Br1 Br 0.4363 0.5208 0.3151 1
```



Entry 2:
Computed powder diffraction line list of LaB4 for Cu Kα (λ = 1.5418 Å), from a DFT-relaxed cell (PBE, Alexandria).

Top 10 peaks for 10 to 90 degrees two-theta, low angle first:
- hkl 0 0 1, 21.24°, I = 55.0
- hkl 2 0 0, 24.35°, I = 37.2
- hkl 2 1 0, 27.28°, I = 73.5
- hkl 2 0 1, 32.53°, I = 57.3
- hkl 2 1 1, 34.83°, I = 100.0
- hkl 3 1 1, 44.78°, I = 20.4
- hkl 4 1 0, 51.55°, I = 30.3
- hkl 2 1 2, 51.90°, I = 25.6
- hkl 4 1 1, 56.36°, I = 34.5
- hkl 4 1 2, 69.50°, I = 24.4

```
data_LaB4
_chemical_formula_sum 'La4 B16'
_cell_length_a 7.3101
_cell_length_b 7.3101
_cell_length_c 4.1833
_cell_angle_alpha 90.00
_cell_angle_beta 90.00
_cell_angle_gamma 90.00
_space_group_name_H-M_alt 'P 4/m b m'
_space_group_IT_number 127
_space_group_name_Hall '-P 4 2ab'
loop_
_atom_site_label
_atom_site_type_symbol
_atom_site_fract_x
_atom_site_fract_y
_atom_site_fract_z
_atom_site_occupancy
La1 La 0.1836 0.3164 0.0000 1
B1 B 0.0000 0.0000 0.2063 1
B2 B 0.0391 0.8264 0.5000 1
B3 B 0.0884 0.5884 0.5000 1
```



Entry 3:
Computed powder diffraction line list of CaGa3AgAu for Cu Kα (λ = 1.5418 Å), from a DFT-relaxed cell (PBE, Alexandria).

Top 10 peaks for 10 to 90 degrees two-theta, low angle first:
- hkl 0 2 1, 19.44°, I = 46.6
- hkl 1 1 1, 22.38°, I = 50.0
- hkl 0 2 2, 32.79°, I = 61.8
- hkl 2 2 0, 33.38°, I = 54.6
- hkl 1 5 0, 34.80°, I = 100.0
- hkl 0 4 2, 39.48°, I = 40.3
- hkl 2 4 0, 39.98°, I = 36.2
- hkl 2 0 2, 43.81°, I = 95.4
- hkl 1 5 2, 46.79°, I = 70.2
- hkl 3 5 2, 66.39°, I = 43.4

```
data_CaGa3AgAu
_chemical_formula_sum 'Ca4 Ga12 Ag4 Au4'
_cell_length_a 5.7858
_cell_length_b 14.3985
_cell_length_c 5.9045
_cell_angle_alpha 90.00
_cell_angle_beta 90.00
_cell_angle_gamma 90.00
_space_group_name_H-M_alt 'C m c m'
_space_group_IT_number 63
_space_group_name_Hall '-C 2c 2'
loop_
_atom_site_label
_atom_site_type_symbol
_atom_site_fract_x
_atom_site_fract_y
_atom_site_fract_z
_atom_site_occupancy
Ca1 Ca 0.0000 0.1837 0.2500 1
Ga1 Ga 0.0000 0.3788 0.7500 1
Ga2 Ga 0.2189 0.0000 0.0000 1
Ag1 Ag 0.0000 0.3865 0.2500 1
Au1 Au 0.0000 0.1909 0.7500 1
```



Entry 4:
Computed powder diffraction line list of Ho2SeF for Cu Kα (λ = 1.5418 Å), from a DFT-relaxed cell (PBE, Alexandria).

Top 10 peaks for 10 to 90 degrees two-theta, low angle first:
- hkl 0 0 6, 28.14°, I = 12.0
- hkl 0 1 2, 28.33°, I = 41.4
- hkl 1 0 4, 32.77°, I = 100.0
- hkl 0 1 8, 46.90°, I = 32.3
- hkl 1 1 0, 47.15°, I = 37.4
- hkl 1 1 6, 55.81°, I = 11.4
- hkl 0 2 4, 58.61°, I = 18.6
- hkl 1 1 12, 78.04°, I = 11.4
- hkl 2 1 4, 78.40°, I = 15.9
- hkl 1 2 8, 87.51°, I = 10.9

```
data_Ho2SeF
_chemical_formula_sum 'Ho6 Se3 F3'
_cell_length_a 3.8552
_cell_length_b 3.8552
_cell_length_c 19.0269
_cell_angle_alpha 90.00
_cell_angle_beta 90.00
_cell_angle_gamma 120.00
_space_group_name_H-M_alt 'R -3 m'
_space_group_IT_number 166
_space_group_name_Hall '-R 3 2"'
loop_
_atom_site_label
_atom_site_type_symbol
_atom_site_fract_x
_atom_site_fract_y
_atom_site_fract_z
_atom_site_occupancy
Ho1 Ho 0.0000 0.0000 0.2410 1
Se1 Se 0.0000 0.0000 0.0000 1
F1 F 0.0000 0.0000 0.5000 1
```



Entry 5:
Computed powder diffraction line list of TaCdSn for Cu Kα (λ = 1.5418 Å), from a DFT-relaxed cell (PBE, Alexandria).

Top 10 peaks for 10 to 90 degrees two-theta, low angle first:
- hkl 1 1 0, 34.88°, I = 63.9
- hkl 1 0 3, 37.06°, I = 100.0
- hkl 1 0 4, 44.71°, I = 8.9
- hkl 2 0 0, 50.16°, I = 22.9
- hkl 2 1 3, 63.99°, I = 40.6
- hkl 1 1 6, 68.19°, I = 13.0
- hkl 2 2 0, 73.67°, I = 7.3
- hkl 2 0 6, 78.94°, I = 8.7
- hkl 3 1 0, 84.17°, I = 10.7
- hkl 3 0 3, 85.46°, I = 9.4

```
data_TaCdSn
_chemical_formula_sum 'Ta2 Cd2 Sn2'
_cell_length_a 3.6372
_cell_length_b 3.6372
_cell_length_c 9.7653
_cell_angle_alpha 90.00
_cell_angle_beta 90.00
_cell_angle_gamma 90.00
_space_group_name_H-M_alt 'P 4/n m m'
_space_group_IT_number 129
loop_
_space_group_symop_operation_xyz
'x,y,z'
'-x,-y,-z'
'-y+1/2,x,z'
'y+1/2,-x,-z'
'-x+1/2,-y+1/2,z'
'x+1/2,y+1/2,-z'
'y,-x+1/2,z'
'-y,x+1/2,-z'
'x+1/2,-y,-z'
'-x+1/2,y,z'
'-y,-x,-z'
'y,x,z'
'-x,y+1/2,-z'
'x,-y+1/2,z'
'y+1/2,x+1/2,-z'
'-y+1/2,-x+1/2,z'
loop_
_atom_site_label
_atom_site_type_symbol
_atom_site_fract_x
_atom_site_fract_y
_atom_site_fract_z
_atom_site_occupancy
Ta1 Ta 0.2500 0.2500 0.0753 1
Cd1 Cd 0.2500 0.2500 0.4105 1
Sn1 Sn 0.2500 0.2500 0.7755 1
```



Entry 6:
Computed powder diffraction line list of Tm3Pb2 for Cu Kα (λ = 1.5418 Å), from a DFT-relaxed cell (PBE, Alexandria).

Top 10 peaks for 10 to 90 degrees two-theta, low angle first:
- hkl 2 0 0, 29.15°, I = 66.8
- hkl 2 0 2, 31.44°, I = 37.3
- hkl 1 0 5, 32.59°, I = 100.0
- hkl 2 1 1, 33.21°, I = 81.4
- hkl 2 1 3, 37.21°, I = 34.5
- hkl 2 2 4, 48.23°, I = 40.0
- hkl 3 0 5, 53.90°, I = 24.6
- hkl 1 1 10, 64.30°, I = 26.6
- hkl 4 1 5, 70.37°, I = 22.4
- hkl 3 1 10, 79.61°, I = 23.1

```
data_Tm3Pb2
_chemical_formula_sum 'Tm12 Pb8'
_cell_length_a 6.1270
_cell_length_b 6.1270
_cell_length_c 15.3680
_cell_angle_alpha 90.00
_cell_angle_beta 90.00
_cell_angle_gamma 90.00
_space_group_name_H-M_alt 'I 41/a m d'
_space_group_IT_number 141
loop_
_space_group_symop_operation_xyz
'x,y,z'
'-x,-y,-z'
'-y+1/4,x+3/4,z+1/4'
'y+1/4,-x+3/4,-z+1/4'
'-x+1/2,-y,z+1/2'
'x+1/2,y,-z+1/2'
'y+1/4,-x+1/4,z+3/4'
'-y+1/4,x+1/4,-z+3/4'
'x,-y,-z'
'-x,y,z'
'-y+1/4,-x+1/4,-z+3/4'
'y+1/4,x+1/4,z+3/4'
'-x+1/2,y,-z+1/2'
'x+1/2,-y,z+1/2'
'y+1/4,x+3/4,-z+1/4'
'-y+1/4,-x+3/4,z+1/4'
'x+1/2,y+1/2,z+1/2'
'-x+1/2,-y+1/2,-z+1/2'
'-y+3/4,x+1/4,z+3/4'
'y+3/4,-x+1/4,-z+3/4'
'-x,-y+1/2,z'
'x,y+1/2,-z'
'y+3/4,-x+3/4,z+1/4'
'-y+3/4,x+3/4,-z+1/4'
'x+1/2,-y+1/2,-z+1/2'
'-x+1/2,y+1/2,z+1/2'
'-y+3/4,-x+3/4,-z+1/4'
'y+3/4,x+3/4,z+1/4'
'-x,y+1/2,-z'
'x,-y+1/2,z'
'y+3/4,x+1/4,-z+3/4'
'-y+3/4,-x+1/4,z+3/4'
loop_
_atom_site_label
_atom_site_type_symbol
_atom_site_fract_x
_atom_site_fract_y
_atom_site_fract_z
_atom_site_occupancy
Tm1 Tm 0.0001 0.0000 0.0001 1
Tm2 Tm 0.0000 0.2500 0.3750 1
Pb1 Pb 0.0000 0.2500 0.1754 1
```



Entry 7:
Computed powder diffraction line list of Pr7Er12Tl for Cu Kα (λ = 1.5418 Å), from a DFT-relaxed cell (PBE, Alexandria).

Top 10 peaks for 10 to 90 degrees two-theta, low angle first:
- hkl 0 3 0, 30.20°, I = 19.8
- hkl 1 2 -3, 31.51°, I = 34.0
- hkl 0 3 -2, 31.79°, I = 94.1
- hkl -2 2 1, 31.92°, I = 99.8
- hkl 0 1 3, 32.10°, I = 100.0
- hkl 2 -1 2, 32.59°, I = 76.5
- hkl 1 3 0, 33.02°, I = 35.5
- hkl 2 1 -3, 33.55°, I = 42.1
- hkl 1 -2 3, 34.39°, I = 22.1
- hkl 4 0 -1, 47.33°, I = 20.4

```
data_Pr7Er12Tl
_chemical_formula_sum 'Pr7 Er12 Tl1'
_cell_length_a 7.6837
_cell_length_b 9.1178
_cell_length_c 9.8900
_cell_angle_alpha 102.87
_cell_angle_beta 99.58
_cell_angle_gamma 90.49
_space_group_name_H-M_alt 'P -1'
_space_group_IT_number 2
loop_
_space_group_symop_operation_xyz
'x,y,z'
'-x,-y,-z'
loop_
_atom_site_label
_atom_site_type_symbol
_atom_site_fract_x
_atom_site_fract_y
_atom_site_fract_z
_atom_site_occupancy
Pr1 Pr 0.0000 0.0000 0.0000 1
Pr2 Pr 0.1274 0.2285 0.3185 1
Pr3 Pr 0.2358 0.5208 0.7922 1
Pr4 Pr 0.3750 0.8680 0.3610 1
Er1 Er 0.0188 0.6855 0.0824 1
Er2 Er 0.1234 0.6197 0.4401 1
Er3 Er 0.1509 0.0989 0.6417 1
Er4 Er 0.3393 0.4817 0.1633 1
Er5 Er 0.4163 0.8225 0.7152 1
Er6 Er 0.4624 0.1856 0.9455 1
Tl1 Tl 0.5000 0.5000 0.5000 1
```



Entry 8:
Computed powder diffraction line list of Er3Zn3Rh2 for Cu Kα (λ = 1.5418 Å), from a DFT-relaxed cell (PBE, Alexandria).

Top 10 peaks for 10 to 90 degrees two-theta, low angle first:
- hkl 1 4 1, 30.14°, I = 53.1
- hkl 2 4 0, 33.12°, I = 86.8
- hkl 1 1 2, 35.80°, I = 59.9
- hkl 2 4 1, 37.16°, I = 100.0
- hkl 1 3 2, 39.19°, I = 56.7
- hkl 3 0 1, 40.90°, I = 46.2
- hkl 1 4 2, 41.96°, I = 38.3
- hkl 3 3 1, 44.30°, I = 25.5
- hkl 0 8 0, 44.62°, I = 27.4
- hkl 1 7 2, 53.49°, I = 37.0

```
data_Er3Zn3Rh2
_chemical_formula_sum 'Er12 Zn12 Rh8'
_cell_length_a 7.2470
_cell_length_b 16.2470
_cell_length_c 5.4214
_cell_angle_alpha 90.00
_cell_angle_beta 90.00
_cell_angle_gamma 90.00
_space_group_name_H-M_alt 'P n m a'
_space_group_IT_number 62
loop_
_space_group_symop_operation_xyz
'x,y,z'
'-x,-y,-z'
'-x+1/2,-y,z+1/2'
'x+1/2,y,-z+1/2'
'x+1/2,-y+1/2,-z+1/2'
'-x+1/2,y+1/2,z+1/2'
'-x,y+1/2,-z'
'x,-y+1/2,z'
loop_
_atom_site_label
_atom_site_type_symbol
_atom_site_fract_x
_atom_site_fract_y
_atom_site_fract_z
_atom_site_occupancy
Er1 Er 0.0373 0.1074 0.1157 1
Er2 Er 0.1656 0.2500 0.6479 1
Zn1 Zn 0.1742 0.0278 0.5956 1
Zn2 Zn 0.1748 0.7500 0.6441 1
Rh1 Rh 0.1196 0.6178 0.3711 1
```